Theoretical powder diffraction line list
Compound: Eu3Zr
Radiation: a wavelength of 1.5418 Å
Structure: a GGA-PBE-relaxed structure

Unit cell a=5.2344 b=5.2344 c=5.2344 alpha=90.00 beta=90.00 gamma=90.00
Space group Pm-3m (No. 221)
Symmetry-distinct sites (fractional):
Eu 0.0000 0.0000 0.5000 x3
Zr 0.5000 0.5000 0.5000 x1

The 12 most intense peaks (10° ≤ 2θ ≤ 90°), by intensity:
29.6 deg, rel. 1000, hkl 1 1 1; 34.3 deg, rel. 509, hkl 2 0 0; 58.5 deg, rel. 431, hkl 3 1 1; 49.2 deg, rel. 362, hkl 2 2 0; 79.9 deg, rel. 177, hkl 3 3 1; 82.4 deg, rel. 164, hkl 4 2 0; 61.4 deg, rel. 124, hkl 2 2 2; 72.2 deg, rel. 58, hkl 4 0 0; 16.9 deg, rel. 29, hkl 1 0 0; 24.0 deg, rel. 27, hkl 1 1 0; 38.5 deg, rel. 18, hkl 2 1 0; 42.3 deg, rel. 14, hkl 2 1 1